Diffraction record for AcPm6Pr6. The X-ray diffraction stick pattern is computed, not measured: it uses a cell relaxed with PBE and Cu Kα (weighted mean of Kα1 and Kα2).

Main lines, low angle first (2θ from 10° to 90°):
2θ = 25.97°, d 3.431, rel. 299; 2θ = 30.14°, d 2.965, rel. 1000; 2θ = 30.45°, d 2.935, rel. 192; 2θ = 33.81°, d 2.651, rel. 441; 2θ = 53.41°, d 1.715, rel. 236; 2θ = 53.94°, d 1.700, rel. 194

Cell and atoms:
Cell: 6.8616 6.8616 11.7420 Å, 90.00 90.00 120.00°
Element x y z (fractional)
Ac 0.0000 0.0000 0.0000
Pm 0.0000 0.0000 0.3579
Pm 0.0000 0.0000 0.6421
Pm 0.3333 0.6667 0.0000
Pm 0.3333 0.6667 0.5000
Pm 0.6667 0.3333 0.0000
Pm 0.6667 0.3333 0.5000
Pr 0.0000 0.5000 0.2511
Pr 0.0000 0.5000 0.7489
Pr 0.5000 0.0000 0.2511
Pr 0.5000 0.0000 0.7489
Pr 0.5000 0.5000 0.2511
Pr 0.5000 0.5000 0.7489

=====

Diffraction record for Ac3PmPr3S8. The X-ray diffraction stick pattern is computed, not measured: it uses a cell relaxed with PBE and Cu Kα (weighted mean of Kα1 and Kα2).

Main lines, low angle first (2θ from 10° to 90°):
2θ = 25.63°, d 3.475, rel. 204; 2θ = 26.22°, d 3.399, rel. 577; 2θ = 30.20°, d 2.960, rel. 1000; 2θ = 42.85°, d 2.110, rel. 377; 2θ = 43.60°, d 2.076, rel. 362; 2θ = 51.26°, d 1.782, rel. 203

Cell and atoms:
Cell: 8.4434 8.4434 8.4434 Å, 58.91 58.91 58.91°
Element x y z (fractional)
Ac 0.0000 0.5000 0.5000
Ac 0.5000 0.0000 0.5000
Ac 0.5000 0.5000 0.0000
Pm 0.5000 0.5000 0.5000
Pr 0.0000 0.0000 0.5000
Pr 0.0000 0.5000 0.0000
Pr 0.5000 0.0000 0.0000
S 0.2463 0.2463 0.2463
S 0.2503 0.7424 0.7424
S 0.2576 0.2576 0.7497
S 0.2576 0.7497 0.2576
S 0.7424 0.2503 0.7424
S 0.7424 0.7424 0.2503
S 0.7497 0.2576 0.2576
S 0.7537 0.7537 0.7537

=====

Diffraction record for AcPm2PrSm2. The X-ray diffraction stick pattern is computed, not measured: it uses a cell relaxed with PBE and Cu Kα (weighted mean of Kα1 and Kα2).

Main lines, low angle first (2θ from 10° to 90°):
2θ = 28.14°, d 3.171, rel. 1000; 2θ = 28.85°, d 3.095, rel. 839; 2θ = 29.15°, d 3.064, rel. 561; 2θ = 32.81°, d 2.729, rel. 544; 2θ = 34.60°, d 2.592, rel. 577; 2θ = 39.74°, d 2.268, rel. 618

Cell and atoms:
Cell: 6.7485 18.5682 3.5259 Å, 90.00 90.00 90.00°
Element x y z (fractional)
Ac 0.0000 0.0000 0.0000
Ac 0.5000 0.5000 0.5000
Pm 0.2055 0.1871 0.0000
Pm 0.2945 0.6871 0.5000
Pm 0.7055 0.3129 0.5000
Pm 0.7945 0.8129 0.0000
Pr 0.0000 0.5000 0.0000
Pr 0.5000 0.0000 0.5000
Sm 0.2001 0.3485 0.5000
Sm 0.2999 0.8485 0.0000
Sm 0.7001 0.1515 0.0000
Sm 0.7999 0.6515 0.5000

=====

Diffraction record for AcPmPrSm. The X-ray diffraction stick pattern is computed, not measured: it uses a cell relaxed with PBE and Cu Kα (weighted mean of Kα1 and Kα2).

Main lines, low angle first (2θ from 10° to 90°):
2θ = 29.17°, d 3.062, rel. 1000; 2θ = 33.77°, d 2.655, rel. 341; 2θ = 33.88°, d 2.646, rel. 169; 2θ = 48.56°, d 1.875, rel. 372; 2θ = 57.60°, d 1.600, rel. 299; 2θ = 57.75°, d 1.596, rel. 148

Cell and atoms:
Cell: 6.4877 6.4877 6.4877 Å, 131.69 131.69 70.71°
Element x y z (fractional)
Ac 0.0000 0.0000 0.0000
Pm 0.5000 0.5000 0.0000
Pr 0.7500 0.2500 0.5000
Sm 0.2500 0.7500 0.5000

=====

Diffraction record for AcPmPrSm3. The X-ray diffraction stick pattern is computed, not measured: it uses a cell relaxed with PBE and Cu Kα (weighted mean of Kα1 and Kα2).

Main lines, low angle first (2θ from 10° to 90°):
2θ = 29.06°, d 3.073, rel. 579; 2θ = 29.30°, d 3.048, rel. 1000; 2θ = 30.53°, d 2.928, rel. 922; 2θ = 31.77°, d 2.816, rel. 574; 2θ = 32.00°, d 2.797, rel. 745; 2θ = 33.95°, d 2.641, rel. 561

Cell and atoms:
Cell: 10.7620 10.7620 7.2161 Å, 90.61 90.61 31.58°
Element x y z (fractional)
Ac 0.1473 0.1473 0.0398
Ac 0.8527 0.8527 0.9602
Pm 0.4457 0.4457 0.7255
Pm 0.5543 0.5543 0.2745
Pr 0.1442 0.1442 0.4872
Pr 0.8558 0.8558 0.5128
Sm 0.0192 0.0192 0.7453
Sm 0.2810 0.2810 0.7333
Sm 0.3388 0.3388 0.2520
Sm 0.6612 0.6612 0.7480
Sm 0.7190 0.7190 0.2667
Sm 0.9808 0.9808 0.2547

=====

Diffraction record for AcTb4Pm2Pr. The X-ray diffraction stick pattern is computed, not measured: it uses a cell relaxed with PBE and Cu Kα (weighted mean of Kα1 and Kα2).

Main lines, low angle first (2θ from 10° to 90°):
2θ = 26.38°, d 3.379, rel. 447; 2θ = 29.66°, d 3.012, rel. 1000; 2θ = 40.08°, d 2.250, rel. 589; 2θ = 40.15°, d 2.246, rel. 294; 2θ = 59.86°, d 1.545, rel. 182; 2θ = 63.09°, d 1.474, rel. 227

Cell and atoms:
Cell: 9.6936 9.6936 9.6936 Å, 137.85 103.34 91.60°
Element x y z (fractional)
Ac 0.0000 0.0000 0.0000
Ac 0.5000 0.0000 0.5000
Tb 0.2444 0.7422 0.5023
Tb 0.2520 0.2657 0.5137
Tb 0.2520 0.7383 0.9863
Tb 0.2601 0.2578 0.0023
Tb 0.7399 0.7422 0.9977
Tb 0.7480 0.2617 0.0137
Tb 0.7480 0.7343 0.4863
Tb 0.7556 0.2578 0.4977
Pm 0.0000 0.5000 0.5000
Pm 0.5000 0.0000 0.0000
Pm 0.5000 0.5000 0.0000
Pm 0.5000 0.5000 0.5000
Pr 0.0000 0.0000 0.5000
Pr 0.0000 0.5000 0.0000